Ac3Nd3Ag4: theoretical XRD peak list (Cu Kα, 1.54184 Å), based on a GGA-PBE-relaxed structure.
No peak broadening, texture or thermal motion is included.

Top 8 peaks for 10 to 80 degrees two-theta, in order of rising 2θ:
2θ/deg  Rel. int.
28.62  77
30.66  100
30.93  93
35.58  78
35.97  32
50.95  15
51.20  25
51.47  23

Structural model:
Unit cell a=5.050 b=7.935 c=7.935 alpha=90.91 beta=90.00 gamma=90.00
Sites, in units of the cell vectors:
Ac1 0.000 0.000 0.000
Ac2 0.000 0.496 0.844
Ac3 0.000 0.844 0.496
Nd1 0.000 0.346 0.346
Nd2 0.500 0.173 0.664
Nd3 0.500 0.664 0.173
Ag1 0.500 0.048 0.297
Ag2 0.500 0.297 0.048
Ag3 0.500 0.537 0.537
Ag4 0.500 0.796 0.796



KScNiBr6: theoretical XRD peak list (Cu Kα, 1.54184 Å), based on a GGA-PBE-relaxed structure.
No peak broadening, texture or thermal motion is included.

Top 8 peaks for 10 to 80 degrees two-theta, in order of rising 2θ:
2θ/deg  Rel. int.
11.95  43
19.25  27
28.89  100
35.85  64
42.39  15
45.40  24
46.24  28
56.61  14

Structural model:
Unit cell a=6.802 b=6.802 c=7.405 alpha=90.00 beta=90.00 gamma=120.00
Sites, in units of the cell vectors:
K1 0.000 0.000 0.000
Sc1 0.667 0.333 0.500
Ni1 0.333 0.667 0.500
Br1 0.010 0.377 0.702
Br2 0.010 0.634 0.298
Br3 0.366 0.377 0.298
Br4 0.366 0.990 0.702
Br5 0.623 0.634 0.702
Br6 0.623 0.990 0.298



- What is the formula in the first record?
  Ac3Nd3Ag4